(1)
Calculated X-ray powder pattern
Compound: KThPa2O8
Radiation: copper Kα
Structure: a PBE-relaxed structure

Atomic structure:
```
data_KThPa2O8
_chemical_formula_sum 'K2 Th2 Pa4 O16'
_cell_length_a 5.5874
_cell_length_b 5.5874
_cell_length_c 10.9205
_cell_angle_alpha 90.00
_cell_angle_beta 90.00
_cell_angle_gamma 90.00
_space_group_name_H-M_alt 'I -4 m 2'
_space_group_IT_number 119
_space_group_name_Hall 'I -4 -2'
loop_
_atom_site_label
_atom_site_fract_x
_atom_site_fract_y
_atom_site_fract_z
_atom_site_occupancy
K1 0.0000 0.0000 0.0000 1
Th1 0.0000 0.5000 0.2500 1
Pa1 0.0000 0.0000 0.5000 1
Pa2 0.0000 0.5000 0.7500 1
O1 0.2226 0.2366 0.6307 1
```

Main lines, sorted by position (10 to 80 degrees two-theta):
| 2theta | Rel. int. |
| --- | --- |
| 17.83 | 21 |
| 27.87 | 100 |
| 32.04 | 23 |
| 32.80 | 11 |
| 45.94 | 18 |
| 46.51 | 34 |
| 54.59 | 32 |
| 55.59 | 15 |
| 57.59 | 10 |
| 74.90 | 13 |

(2)
Calculated X-ray powder pattern
Compound: KThPaO6
Radiation: copper Kα
Structure: a PBE-relaxed structure

Atomic structure:
```
data_KThPaO6
_chemical_formula_sum 'K1 Th1 Pa1 O6'
_cell_length_a 6.1402
_cell_length_b 6.1402
_cell_length_c 4.9569
_cell_angle_alpha 90.00
_cell_angle_beta 90.00
_cell_angle_gamma 120.00
_space_group_name_H-M_alt 'P 3 1 2'
_space_group_IT_number 149
loop_
_space_group_symop_operation_xyz
'x,y,z'
'-y,x-y,z'
'-x+y,-x,z'
'-y,-x,-z'
'-x+y,y,-z'
'x,x-y,-z'
loop_
_atom_site_label
_atom_site_fract_x
_atom_site_fract_y
_atom_site_fract_z
_atom_site_occupancy
K1 0.0000 0.0000 0.0000 1
Th1 0.3333 0.6667 0.0000 1
Pa1 0.6667 0.3333 0.5000 1
O1 0.4056 0.0147 0.2518 1
```

Main lines, sorted by position (10 to 80 degrees two-theta):
| 2theta | Rel. int. |
| --- | --- |
| 16.67 | 33 |
| 24.55 | 100 |
| 29.09 | 43 |
| 38.42 | 32 |
| 47.13 | 33 |
| 48.90 | 33 |
| 51.56 | 13 |
| 58.49 | 10 |
| 66.10 | 14 |
| 74.31 | 10 |

(3)
Calculated X-ray powder pattern
Compound: K3PaTl2O8
Radiation: copper Kα
Structure: a PBE-relaxed structure

Atomic structure:
```
data_K3PaTl2O8
_chemical_formula_sum 'K3 Pa1 Tl2 O8'
_cell_length_a 6.1885
_cell_length_b 6.1885
_cell_length_c 8.1308
_cell_angle_alpha 90.00
_cell_angle_beta 90.00
_cell_angle_gamma 120.00
_space_group_name_H-M_alt 'P -3 m 1'
_space_group_IT_number 164
_space_group_name_Hall '-P 3 2"'
loop_
_atom_site_label
_atom_site_fract_x
_atom_site_fract_y
_atom_site_fract_z
_atom_site_occupancy
K1 0.0000 0.0000 0.0000 1
K2 0.3333 0.6667 0.6335 1
Pa1 0.0000 0.0000 0.5000 1
Tl1 0.3333 0.6667 0.2011 1
O1 0.1610 0.3221 0.3455 1
O2 0.3333 0.6667 0.9500 1
```

Main lines, sorted by position (10 to 80 degrees two-theta):
| 2theta | Rel. int. |
| --- | --- |
| 19.84 | 100 |
| 27.54 | 71 |
| 28.85 | 80 |
| 35.26 | 14 |
| 40.31 | 35 |
| 44.44 | 19 |
| 46.18 | 24 |
| 50.33 | 28 |
| 51.13 | 16 |
| 59.77 | 13 |

(4)
Calculated X-ray powder pattern
Compound: KUPaO6
Radiation: copper Kα
Structure: a PBE-relaxed structure

Atomic structure:
```
data_KUPaO6
_chemical_formula_sum 'K4 U4 Pa4 O24'
_cell_length_a 7.9496
_cell_length_b 8.0351
_cell_length_c 11.3691
_cell_angle_alpha 90.00
_cell_angle_beta 90.00
_cell_angle_gamma 90.00
_space_group_name_H-M_alt 'I m m a'
_space_group_IT_number 74
_space_group_name_Hall '-I 2b 2'
loop_
_atom_site_label
_atom_site_fract_x
_atom_site_fract_y
_atom_site_fract_z
_atom_site_occupancy
K1 0.0000 0.2500 0.0752 1
U1 0.0000 0.0000 0.5000 1
Pa1 0.2500 0.2500 0.7500 1
O1 0.0000 0.2500 0.4418 1
O2 0.0000 0.2500 0.8232 1
O3 0.1873 0.0567 0.6208 1
```

Main lines, sorted by position (10 to 80 degrees two-theta):
| 2theta | Rel. int. |
| --- | --- |
| 13.54 | 100 |
| 26.04 | 59 |
| 26.21 | 26 |
| 27.18 | 36 |
| 27.38 | 44 |
| 31.67 | 15 |
| 41.28 | 12 |
| 45.25 | 26 |
| 47.39 | 14 |
| 53.59 | 20 |

(5)
Calculated X-ray powder pattern
Compound: K6Pb2O5
Radiation: copper Kα
Structure: a PBE-relaxed structure

Atomic structure:
```
data_K6Pb2O5
_chemical_formula_sum 'K12 Pb4 O10'
_cell_length_a 6.5358
_cell_length_b 7.7499
_cell_length_c 12.6375
_cell_angle_alpha 79.24
_cell_angle_beta 84.45
_cell_angle_gamma 87.92
_space_group_name_H-M_alt 'P -1'
_space_group_IT_number 2
loop_
_space_group_symop_operation_xyz
'x,y,z'
'-x,-y,-z'
loop_
_atom_site_label
_atom_site_fract_x
_atom_site_fract_y
_atom_site_fract_z
_atom_site_occupancy
K1 0.0677 0.3898 0.1338 1
K2 0.0876 0.8608 0.1256 1
K3 0.1824 0.0499 0.3774 1
K4 0.1898 0.5109 0.3795 1
K5 0.2792 0.7028 0.6274 1
K6 0.4234 0.4135 0.8813 1
Pb1 0.2538 0.2112 0.6382 1
Pb2 0.4105 0.8705 0.8553 1
O1 0.0147 0.2417 0.5265 1
O2 0.1174 0.3869 0.7435 1
O3 0.1454 0.9500 0.7459 1
O4 0.2478 0.6736 0.9780 1
O5 0.4180 0.3022 0.2423 1
```

Main lines, sorted by position (10 to 80 degrees two-theta):
| 2theta | Rel. int. |
| --- | --- |
| 15.97 | 100 |
| 16.73 | 79 |
| 17.83 | 85 |
| 27.80 | 55 |
| 28.89 | 66 |
| 29.02 | 72 |
| 29.11 | 68 |
| 33.08 | 64 |
| 33.23 | 83 |
| 33.50 | 63 |

(6)
Calculated X-ray powder pattern
Compound: KPb4O8
Radiation: copper Kα
Structure: a PBE-relaxed structure

Atomic structure:
```
data_KPb4O8
_chemical_formula_sum 'K2 Pb8 O16'
_cell_length_a 15.8230
_cell_length_b 3.4859
_cell_length_c 10.8787
_cell_angle_alpha 90.00
_cell_angle_beta 132.22
_cell_angle_gamma 90.00
_space_group_name_H-M_alt 'C 1 m 1'
_space_group_IT_number 8
loop_
_space_group_symop_operation_xyz
'x,y,z'
'x,-y,z'
'x+1/2,y+1/2,z'
'x+1/2,-y+1/2,z'
loop_
_atom_site_label
_atom_site_fract_x
_atom_site_fract_y
_atom_site_fract_z
_atom_site_occupancy
K1 0.0000 0.0000 0.0000 1
Pb1 0.0980 0.0000 0.4321 1
Pb2 0.1113 0.5000 0.7725 1
Pb3 0.2958 0.0000 0.1403 1
Pb4 0.3074 0.5000 0.4816 1
O1 0.0896 0.5000 0.5513 1
O2 0.1134 0.5000 0.3088 1
O3 0.1655 0.5000 0.0254 1
O4 0.2357 0.0000 0.8863 1
O5 0.2891 0.0000 0.5971 1
O6 0.3078 0.0000 0.3527 1
O7 0.4113 0.5000 0.2181 1
O8 0.4937 0.5000 0.6946 1
```

Main lines, sorted by position (10 to 80 degrees two-theta):
| 2theta | Rel. int. |
| --- | --- |
| 10.98 | 66 |
| 11.22 | 68 |
| 16.30 | 84 |
| 24.37 | 62 |
| 25.57 | 70 |
| 30.51 | 54 |
| 30.87 | 99 |
| 31.05 | 100 |
| 31.34 | 68 |
| 31.51 | 86 |

(7)
Calculated X-ray powder pattern
Compound: K5Pb2O6
Radiation: copper Kα
Structure: a PBE-relaxed structure

Atomic structure:
```
data_K5Pb2O6
_chemical_formula_sum 'K20 Pb8 O24'
_cell_length_a 11.3978
_cell_length_b 7.2490
_cell_length_c 15.1096
_cell_angle_alpha 90.00
_cell_angle_beta 92.88
_cell_angle_gamma 90.00
_space_group_name_H-M_alt 'C 1 2/c 1'
_space_group_IT_number 15
loop_
_space_group_symop_operation_xyz
'x,y,z'
'-x,-y,-z'
'-x,y,-z+1/2'
'x,-y,z+1/2'
'x+1/2,y+1/2,z'
'-x+1/2,-y+1/2,-z'
'-x+1/2,y+1/2,-z+1/2'
'x+1/2,-y+1/2,z+1/2'
loop_
_atom_site_label
_atom_site_fract_x
_atom_site_fract_y
_atom_site_fract_z
_atom_site_occupancy
K1 0.0000 0.1103 0.2500 1
K2 0.0296 0.2199 0.9588 1
K3 0.1576 0.4691 0.7034 1
Pb1 0.2172 0.3832 0.4173 1
O1 0.0454 0.4535 0.3732 1
O2 0.1533 0.0979 0.6760 1
O3 0.1966 0.0815 0.4485 1
```

Main lines, sorted by position (10 to 80 degrees two-theta):
| 2theta | Rel. int. |
| --- | --- |
| 11.73 | 23 |
| 15.52 | 100 |
| 15.78 | 42 |
| 18.43 | 27 |
| 18.93 | 31 |
| 19.05 | 20 |
| 27.44 | 38 |
| 29.05 | 26 |
| 29.98 | 20 |
| 30.40 | 39 |

(8)
Calculated X-ray powder pattern
Compound: K14PbO
Radiation: copper Kα
Structure: a PBE-relaxed structure

Atomic structure:
```
data_K14PbO
_chemical_formula_sum 'K28 Pb2 O2'
_cell_length_a 11.8431
_cell_length_b 10.8184
_cell_length_c 16.4503
_cell_angle_alpha 90.00
_cell_angle_beta 90.00
_cell_angle_gamma 90.00
_space_group_name_H-M_alt 'A m m 2'
_space_group_IT_number 38
loop_
_space_group_symop_operation_xyz
'x,y,z'
'-x,-y,z'
'-x,y,z'
'x,-y,z'
'x,y+1/2,z+1/2'
'-x,-y+1/2,z+1/2'
'-x,y+1/2,z+1/2'
'x,-y+1/2,z+1/2'
loop_
_atom_site_label
_atom_site_fract_x
_atom_site_fract_y
_atom_site_fract_z
_atom_site_occupancy
K1 0.0000 0.0000 0.0000 1
K2 0.0000 0.0000 0.4369 1
K3 0.0000 0.2033 0.7238 1
K4 0.2721 0.0000 0.2189 1
K5 0.3049 0.2225 0.5039 1
K6 0.3341 0.0000 0.8474 1
K7 0.5000 0.2057 0.7041 1
Pb1 0.5000 0.0000 0.0600 1
O1 0.5000 0.0000 0.7615 1
```

Main lines, sorted by position (10 to 80 degrees two-theta):
| 2theta | Rel. int. |
| --- | --- |
| 12.32 | 66 |
| 13.11 | 23 |
| 17.91 | 20 |
| 23.59 | 72 |
| 24.78 | 100 |
| 25.28 | 29 |
| 28.31 | 33 |
| 30.06 | 23 |
| 31.22 | 20 |
| 47.73 | 19 |

(9)
Calculated X-ray powder pattern
Compound: K2Ru3PbO8
Radiation: copper Kα
Structure: a PBE-relaxed structure

Atomic structure:
```
data_K2Ru3PbO8
_chemical_formula_sum 'K6 Ru9 Pb3 O24'
_cell_length_a 6.3363
_cell_length_b 6.3363
_cell_length_c 18.8341
_cell_angle_alpha 90.00
_cell_angle_beta 90.00
_cell_angle_gamma 120.00
_space_group_name_H-M_alt 'R 3 m'
_space_group_IT_number 160
_space_group_name_Hall 'R 3 -2"'
loop_
_atom_site_label
_atom_site_fract_x
_atom_site_fract_y
_atom_site_fract_z
_atom_site_occupancy
K1 0.0000 0.0000 0.0000 1
K2 0.0000 0.0000 0.3620 1
Ru1 0.0013 0.5007 0.8673 1
Pb1 0.0000 0.0000 0.7573 1
O1 0.0000 0.0000 0.1458 1
O2 0.0000 0.0000 0.5861 1
O3 0.0366 0.5183 0.1419 1
O4 0.1828 0.3657 0.9148 1
```

Main lines, sorted by position (10 to 80 degrees two-theta):
| 2theta | Rel. int. |
| --- | --- |
| 14.11 | 86 |
| 18.72 | 50 |
| 24.92 | 93 |
| 28.75 | 82 |
| 31.63 | 100 |
| 32.99 | 89 |
| 34.03 | 40 |
| 50.21 | 39 |
| 51.12 | 41 |
| 58.24 | 42 |

(10)
Calculated X-ray powder pattern
Compound: K2PbS2O8
Radiation: copper Kα
Structure: a PBE-relaxed structure

Atomic structure:
```
data_K2PbS2O8
_chemical_formula_sum 'K6 Pb3 S6 O24'
_cell_length_a 5.8237
_cell_length_b 5.8237
_cell_length_c 30.6785
_cell_angle_alpha 90.00
_cell_angle_beta 90.00
_cell_angle_gamma 120.00
_space_group_name_H-M_alt 'R -3 m'
_space_group_IT_number 166
_space_group_name_Hall '-R 3 2"'
loop_
_atom_site_label
_atom_site_fract_x
_atom_site_fract_y
_atom_site_fract_z
_atom_site_occupancy
K1 0.0000 0.0000 0.2251 1
Pb1 0.0000 0.0000 0.0000 1
S1 0.0000 0.0000 0.0920 1
O1 0.0000 0.0000 0.1396 1
O2 0.0556 0.5278 0.7399 1
```

Main lines, sorted by position (10 to 80 degrees two-theta):
| 2theta | Rel. int. |
| --- | --- |
| 17.82 | 100 |
| 18.52 | 28 |
| 21.08 | 16 |
| 22.82 | 15 |
| 29.26 | 12 |
| 30.70 | 33 |
| 34.21 | 12 |
| 35.73 | 14 |
| 40.75 | 24 |
| 42.28 | 13 |